# Nd2CdPdO5
Calculated powder diffractogram, Cu Kα (weighted mean of Kα1 and Kα2). Input: a crystal structure in Alexandria, relaxed with GGA-PBE.
No peak broadening, texture or thermal motion is included.

Atomic structure:
Cell: 6.7773 6.7773 5.7801 Å, 90.00 90.00 90.00°
Space group P4/mbm (No. 127)
Inequivalent atoms, fractional coordinates:
Nd 0.1720 0.3280 0.0000 [4 per cell]
Cd 0.0000 0.0000 0.5000 [2 per cell]
Pd 0.0000 0.5000 0.5000 [2 per cell]
O 0.0000 0.0000 0.0000 [2 per cell]
O 0.1436 0.6436 0.2508 [8 per cell]

Top 10 peaks for 5° ≤ 2θ ≤ 70°, by intensity:
2θ/deg	d/Å	Rel. int.	h k l
30.58	2.923	100	2 0 1
33.38	2.684	53	2 1 1
43.26	2.092	38	2 1 2
30.94	2.890	38	0 0 2
56.61	1.626	24	4 0 1
37.54	2.396	24	2 2 0
29.47	3.031	20	2 1 0
49.41	1.845	20	2 2 2
54.81	1.675	19	2 0 3
58.37	1.581	13	4 1 1

***

# Th3Be2Ge4
Calculated powder diffractogram, Cu Kα (weighted mean of Kα1 and Kα2). Input: a crystal structure in Alexandria, relaxed with GGA-PBE.
No peak broadening, texture or thermal motion is included.

Atomic structure:
Cell: 11.1036 4.0466 8.2897 Å, 90.00 98.37 90.00°
Space group C2/m (No. 12)
Inequivalent atoms, fractional coordinates:
Th 0.0000 0.0000 0.0000 [2 per cell]
Th 0.1632 0.5000 0.6642 [4 per cell]
Be 0.1084 0.5000 0.2811 [4 per cell]
Ge 0.0643 0.0000 0.3795 [4 per cell]
Ge 0.2177 0.5000 0.0735 [4 per cell]

Top 10 peaks for 5° ≤ 2θ ≤ 70°, by intensity:
2θ/deg	d/Å	Rel. int.	h k l
32.97	2.717	100	1 1 2
32.81	2.730	49	4 0 -1
25.35	3.514	36	1 1 -1
44.41	2.040	30	3 1 -3
25.14	3.542	19	2 0 -2
49.85	1.829	18	5 1 1
42.19	2.142	18	4 0 2
44.79	2.023	15	0 2 0
20.73	4.284	14	2 0 1
63.00	1.475	11	7 1 -1

***

# NpAl4Pd2
Calculated powder diffractogram, Cu Kα (weighted mean of Kα1 and Kα2). Input: a crystal structure in Alexandria, relaxed with GGA-PBE.
No peak broadening, texture or thermal motion is included.

Atomic structure:
Cell: 17.2710 4.3084 6.6388 Å, 90.00 90.00 90.00°
Space group Pnma (No. 62)
Inequivalent atoms, fractional coordinates:
Np 0.1355 0.2500 0.0159 [4 per cell]
Al 0.0365 0.7500 0.8270 [4 per cell]
Al 0.0720 0.2500 0.4959 [4 per cell]
Al 0.1874 0.7500 0.3275 [4 per cell]
Al 0.1932 0.7500 0.7323 [4 per cell]
Pd 0.0386 0.7500 0.2456 [4 per cell]
Pd 0.2168 0.2500 0.5322 [4 per cell]

Top 10 peaks for 5° ≤ 2θ ≤ 70°, by intensity:
2θ/deg	d/Å	Rel. int.	h k l
35.69	2.515	100	2 1 2
35.97	2.497	64	5 1 1
29.16	3.062	57	5 0 1
23.07	3.855	40	2 1 0
14.29	6.197	40	1 0 1
41.94	2.154	36	0 2 0
38.94	2.313	36	7 0 1
37.58	2.393	27	6 1 0
58.56	1.576	22	7 2 1
34.07	2.632	22	4 0 2

***

# Na6HfSb4
Calculated powder diffractogram, Cu Kα (weighted mean of Kα1 and Kα2). Input: a crystal structure in Alexandria, relaxed with GGA-PBE.
No peak broadening, texture or thermal motion is included.

Atomic structure:
Cell: 10.8569 10.8569 6.3600 Å, 90.00 90.00 120.00°
Space group P6_3mc (No. 186)
Inequivalent atoms, fractional coordinates:
Na 0.0103 0.5052 0.0000 [6 per cell]
Na 0.1439 0.2878 0.2558 [6 per cell]
Hf 0.3333 0.6667 0.6937 [2 per cell]
Sb 0.1856 0.3712 0.7527 [6 per cell]
Sb 0.3333 0.6667 0.2368 [2 per cell]

Top 10 peaks for 5° ≤ 2θ ≤ 70°, by intensity:
2θ/deg	d/Å	Rel. int.	h k l
33.00	2.714	100	2 2 0
9.41	9.402	64	1 0 0
18.88	4.701	59	2 0 0
34.04	2.634	58	2 0 2
43.85	2.065	55	2 2 2
16.83	5.268	51	1 0 1
23.53	3.780	37	2 0 1
28.06	3.180	37	0 0 2
16.33	5.428	22	1 1 0
44.34	2.043	21	3 2 1

***

# LiDy3Pu2Te6
Calculated powder diffractogram, Cu Kα (weighted mean of Kα1 and Kα2). Input: a crystal structure in Alexandria, relaxed with GGA-PBE.
No peak broadening, texture or thermal motion is included.

Atomic structure:
Cell: 19.1138 4.3621 8.7814 Å, 90.00 103.73 90.00°
Space group C2/m (No. 12)
Inequivalent atoms, fractional coordinates:
Li 0.0000 0.0000 0.0000 [2 per cell]
Dy 0.0000 0.0000 0.5000 [2 per cell]
Dy 0.1692 0.5000 0.8313 [4 per cell]
Pu 0.1658 0.5000 0.3312 [4 per cell]
Te 0.0031 0.5000 0.7562 [4 per cell]
Te 0.1629 0.0000 0.0746 [4 per cell]
Te 0.1658 0.0000 0.5836 [4 per cell]

Top 10 peaks for 5° ≤ 2θ ≤ 70°, by intensity:
2θ/deg	d/Å	Rel. int.	h k l
28.85	3.095	100	1 1 -2
41.13	2.195	39	7 1 -2
41.38	2.182	38	0 2 0
51.23	1.783	20	6 2 0
67.52	1.387	18	8 2 -4
67.88	1.381	17	1 3 -2
59.77	1.547	13	2 2 -4
50.81	1.797	7	8 0 -4
9.53	9.284	7	2 0 0
10.37	8.530	5	0 0 1

***

# Tb6Pm4Sm19
Calculated powder diffractogram, Cu Kα (weighted mean of Kα1 and Kα2). Input: a crystal structure in Alexandria, relaxed with GGA-PBE.
No peak broadening, texture or thermal motion is included.

Atomic structure:
Cell: 12.6246 12.6246 12.6246 Å, 90.00 90.00 90.00°
Space group I23 (No. 197)
Inequivalent atoms, fractional coordinates:
Tb 0.0000 0.1240 0.5000 [12 per cell]
Pm 0.1819 0.1819 0.1819 [8 per cell]
Sm 0.0000 0.0000 0.0000 [2 per cell]
Sm 0.0000 0.0000 0.2585 [12 per cell]
Sm 0.0604 0.2811 0.7376 [24 per cell]

Top 10 peaks for 5° ≤ 2θ ≤ 70°, by intensity:
2θ/deg	d/Å	Rel. int.	h k l
30.03	2.976	100	4 1 1
36.28	2.476	72	4 3 1
28.28	3.156	61	4 0 0
26.42	3.374	50	3 2 1
34.81	2.577	37	4 2 2
59.48	1.554	28	7 4 1
53.33	1.718	25	7 2 1
60.47	1.531	24	8 2 0
41.72	2.165	23	4 3 3
46.63	1.948	19	5 1 4

***

# PaReBrO6
Calculated powder diffractogram, Cu Kα (weighted mean of Kα1 and Kα2). Input: a crystal structure in Alexandria, relaxed with GGA-PBE.
No peak broadening, texture or thermal motion is included.

Atomic structure:
Cell: 7.3526 8.0131 11.4355 Å, 90.00 90.00 90.00°
Space group Imma (No. 74)
Inequivalent atoms, fractional coordinates:
Pa 0.0000 0.0000 0.0000 [4 per cell]
Re 0.2500 0.2500 0.2500 [4 per cell]
Br 0.0000 0.2500 0.5416 [4 per cell]
O 0.0000 0.2500 0.3077 [4 per cell]
O 0.0000 0.2500 0.9439 [4 per cell]
O 0.1863 0.0856 0.1420 [16 per cell]

Top 10 peaks for 5° ≤ 2θ ≤ 70°, by intensity:
2θ/deg	d/Å	Rel. int.	h k l
13.49	6.562	100	0 1 1
28.87	3.092	99	2 0 2
26.51	3.363	93	1 2 1
14.32	6.185	62	1 0 1
27.18	3.281	51	0 2 2
27.82	3.207	41	2 1 1
46.17	1.966	34	2 2 4
25.88	3.442	34	0 1 3
54.58	1.681	32	2 4 2
34.70	2.585	32	1 2 3

***

# Ba19Na4Pt6
Calculated powder diffractogram, Cu Kα (weighted mean of Kα1 and Kα2). Input: a crystal structure in Alexandria, relaxed with GGA-PBE.
No peak broadening, texture or thermal motion is included.

Atomic structure:
Cell: 14.3331 14.3331 14.3331 Å, 90.00 90.00 90.00°
Space group I23 (No. 197)
Inequivalent atoms, fractional coordinates:
Ba 0.0000 0.0000 0.0000 [2 per cell]
Ba 0.0000 0.0000 0.3603 [12 per cell]
Ba 0.0473 0.3139 0.2875 [24 per cell]
Na 0.1645 0.1645 0.8355 [8 per cell]
Pt 0.0000 0.3280 0.5000 [12 per cell]

Top 10 peaks for 5° ≤ 2θ ≤ 70°, by intensity:
2θ/deg	d/Å	Rel. int.	h k l
8.72	10.135	100	1 1 0
26.38	3.378	93	3 3 0
19.59	4.533	49	3 0 1
37.65	2.389	49	6 0 0
23.22	3.831	45	3 2 1
31.84	2.811	42	4 1 3
12.35	7.167	38	2 0 0
38.73	2.325	34	5 3 2
24.85	3.583	33	4 0 0
34.27	2.617	30	5 1 2